1.
# ReSi2P3O15
Calculated X-ray diffraction stick pattern, CuKα. Input: a crystal structure in the Materials Project, relaxed with PBE.
Peak positions follow from Bragg's law for the DFT cell and can differ from measured ones.

The 6 most intense peaks (2θ from 15° to 90°), by angle:
- 17.78°, intensity 71
- 22.36°, intensity 79
- 24.50°, intensity 100
- 24.66°, intensity 78
- 26.92°, intensity 59
- 30.52°, intensity 89

Structural model:
```
ReSi2P3O15
1.0
7.973 0.000 0.000
3.984 6.920 0.000
0.932 3.165 10.494
Re Si P O
2 4 6 30
direct
0.230 0.470 0.424
0.770 0.530 0.576
0.162 0.678 0.974
0.482 0.070 0.848
0.518 0.930 0.152
0.838 0.322 0.026
0.084 0.122 0.827
0.166 0.316 0.174
0.479 0.567 0.173
0.521 0.433 0.827
0.834 0.684 0.826
0.916 0.878 0.173
0.000 0.500 0.500
0.026 0.645 0.875
0.037 0.237 0.928
0.045 0.752 0.295
0.076 0.927 0.877
0.140 0.372 0.297
0.256 0.422 0.072
0.282 0.595 0.505
0.299 0.068 0.794
0.304 0.712 0.075
0.319 0.082 0.206
0.358 0.597 0.876
0.379 0.224 0.511
0.427 0.462 0.299
0.449 0.299 0.793
0.500 0.000 0.000
0.551 0.701 0.207
0.573 0.538 0.701
0.621 0.776 0.489
0.642 0.403 0.124
0.681 0.918 0.794
0.696 0.288 0.925
0.701 0.932 0.206
0.718 0.405 0.495
0.744 0.578 0.928
0.860 0.628 0.703
0.924 0.073 0.123
0.955 0.248 0.705
0.963 0.763 0.072
0.974 0.355 0.125
```

***

2.
# EuAg2
Calculated X-ray diffraction stick pattern, CuKα. Input: a crystal structure in the Materials Project, relaxed with PBE.
Peak positions follow from Bragg's law for the DFT cell and can differ from measured ones.

The 6 most intense peaks (2θ from 15° to 90°), by angle:
- 30.80°, intensity 28
- 32.10°, intensity 100
- 37.27°, intensity 30
- 37.45°, intensity 44
- 37.55°, intensity 16
- 50.02°, intensity 16

Structural model:
```
EuAg2
1.0
-2.413 3.752 4.153
2.413 -3.752 4.153
2.413 3.752 -4.153
Eu Ag
2 4
direct
0.294 0.044 0.250
0.706 0.956 0.750
0.112 0.663 0.448
0.285 0.337 0.948
0.715 0.663 0.052
0.888 0.337 0.552
```

***

3.
# TbBiPd2
Calculated X-ray diffraction stick pattern, CuKα. Input: a crystal structure in the Materials Project, relaxed with PBE.
Peak positions follow from Bragg's law for the DFT cell and can differ from measured ones.

The 6 most intense peaks (2θ from 15° to 90°), by angle:
- 25.58°, intensity 8
- 36.49°, intensity 100
- 52.56°, intensity 18
- 65.67°, intensity 36
- 77.53°, intensity 11
- 88.86°, intensity 17

Structural model:
```
TbBiPd2
1.0
0.000 3.483 3.483
3.483 0.000 3.483
3.483 3.483 0.000
Tb Bi Pd
1 1 2
direct
0.000 0.000 0.000
0.500 0.500 0.500
0.250 0.250 0.250
0.750 0.750 0.750
```

***

4.
# Mg5Ti
Calculated X-ray diffraction stick pattern, CuKα. Input: a crystal structure in the Materials Project, relaxed with PBE.
Peak positions follow from Bragg's law for the DFT cell and can differ from measured ones.

The 6 most intense peaks (2θ from 15° to 90°), by angle:
- 33.12°, intensity 25
- 35.17°, intensity 41
- 37.20°, intensity 52
- 37.64°, intensity 100
- 64.73°, intensity 18
- 70.17°, intensity 18

Structural model:
```
Mg5Ti
1.0
5.104 0.000 0.000
0.000 1.554 8.233
0.000 -1.554 8.233
Mg Ti
5 1
direct
0.000 0.000 0.000
0.000 0.325 0.325
0.500 0.110 0.110
0.500 0.440 0.440
0.500 0.769 0.769
0.000 0.662 0.662
```

***

Number 3 is which compound? TbBiPd2